Simulated PXRD pattern of Na2Sr3Zn2 for a wavelength of 1.5418 Å, from a crystal structure in Alexandria, relaxed with GGA-PBE.

Top 10 peaks for 5° ≤ 2θ ≤ 70°, sorted by position:
two_theta, Rel. int.
6.8, 100
13.6, 21
28.6, 44
28.9, 58
30.2, 18
31.1, 21
33.3, 45
40.0, 18
43.1, 17
50.1, 25

Crystal structure
a b c (Å): 13.237 13.237 4.389
angles (deg): 90.00 90.00 160.38
Fractional positions:
1 Na 0.091 0.909 0.000
2 Na 0.909 0.091 0.000
3 Sr 0.321 0.679 0.500
4 Sr 0.500 0.500 0.500
5 Sr 0.679 0.321 0.500
6 Zn 0.225 0.775 0.000
7 Zn 0.775 0.225 0.000